# 1
Computed powder diffraction line list of RbNa2Cd4 for Cu Kα (weighted mean of Kα1 and Kα2), from a DFT-relaxed cell (PBE, Alexandria).
Kinematic intensities with the Lorentz-polarization factor, no thermal factor.

Principal peaks in the range 10 to 80 degrees two-theta, low angle first:
15.88 deg, 5.581 Å, rel. 30.3; 24.10 deg, 3.693 Å, rel. 39.2; 26.29 deg, 3.390 Å, rel. 29.4; 26.65 deg, 3.345 Å, rel. 36.0; 30.47 deg, 2.934 Å, rel. 81.0; 31.17 deg, 2.869 Å, rel. 38.3; 32.93 deg, 2.720 Å, rel. 100.0; 34.42 deg, 2.605 Å, rel. 50.0; 38.23 deg, 2.354 Å, rel. 48.2; 59.98 deg, 1.542 Å, rel. 33.3

Structural model:
```
14
Lattice="3.7443 0.0000 0.0000 0.0000 5.2107 0.0000 0.0000 0.0000 22.3246" Properties=species:S:1:pos:R:3 pbc="T T T"
Rb 0.0000 0.0000 0.0000
Rb 1.8721 2.6054 11.1623
Na 0.0000 2.6054 4.5361
Na 0.0000 2.6054 17.7885
Na 1.8721 0.0000 6.6262
Na 1.8721 0.0000 15.6984
Cd 0.0000 0.0000 9.3669
Cd 0.0000 0.0000 12.9577
Cd 0.0000 2.6054 7.8097
Cd 0.0000 2.6054 14.5148
Cd 1.8721 0.0000 3.3525
Cd 1.8721 0.0000 18.9720
Cd 1.8721 2.6054 1.7954
Cd 1.8721 2.6054 20.5292
```


# 2
Computed powder diffraction line list of Tb7Ho4Tm for Cu Kα (weighted mean of Kα1 and Kα2), from a DFT-relaxed cell (PBE, Alexandria).
Kinematic intensities with the Lorentz-polarization factor, no thermal factor.

Principal peaks in the range 10 to 80 degrees two-theta, low angle first:
29.12 deg, 3.066 Å, rel. 36.9; 29.76 deg, 3.002 Å, rel. 14.8; 31.44 deg, 2.845 Å, rel. 49.9; 32.18 deg, 2.782 Å, rel. 100.0; 33.89 deg, 2.645 Å, rel. 87.6; 51.23 deg, 1.783 Å, rel. 38.3; 55.28 deg, 1.662 Å, rel. 14.5; 58.61 deg, 1.575 Å, rel. 12.2; 61.29 deg, 1.512 Å, rel. 22.4; 61.38 deg, 1.510 Å, rel. 14.8

Structural model:
```
12
Lattice="6.1750 0.0000 0.0000 -0.0127 7.1348 0.0000 -2.0847 -0.0064 8.5363" Properties=species:S:1:pos:R:3 pbc="T T T"
Tb 0.0000 0.0000 0.0000
Tb -0.0309 3.5605 5.6864
Tb 1.0181 5.3511 2.8478
Tb 3.0827 1.7792 0.0020
Tb 0.9948 5.3491 8.5343
Tb 3.0594 1.7772 5.6884
Tb 4.1084 3.5679 2.8499
Ho -0.0357 7.1277 5.6852
Ho 1.0227 1.7835 2.8427
Ho 3.0548 5.3448 5.6935
Ho 4.1132 0.0006 2.8511
Tm -0.0064 3.5674 0.0000
```


# 3
Computed powder diffraction line list of TmAl10Os2 for Cu Kα (weighted mean of Kα1 and Kα2), from a DFT-relaxed cell (PBE, Alexandria).
Kinematic intensities with the Lorentz-polarization factor, no thermal factor.

Principal peaks in the range 10 to 80 degrees two-theta, low angle first:
17.38 deg, 5.104 Å, rel. 67.0; 19.46 deg, 4.562 Å, rel. 36.7; 26.20 deg, 3.401 Å, rel. 70.1; 27.65 deg, 3.226 Å, rel. 73.6; 32.84 deg, 2.727 Å, rel. 45.7; 39.51 deg, 2.281 Å, rel. 62.9; 39.75 deg, 2.268 Å, rel. 29.6; 40.50 deg, 2.227 Å, rel. 100.0; 48.02 deg, 1.895 Å, rel. 33.9; 57.86 deg, 1.594 Å, rel. 60.9

Structural model:
```
26
Lattice="4.5570 -5.1035 0.0000 4.5570 5.1035 0.0000 0.0000 0.0000 9.1351" Properties=species:S:1:pos:R:3 pbc="T T T"
Tm 4.5570 3.7707 6.8513
Tm 4.5570 -3.7707 2.2838
Al 2.5685 1.3709 6.8513
Al 4.5570 3.5208 0.9208
Al 4.5570 3.5208 3.6467
Al 3.1775 1.3448 2.2838
Al 2.0305 0.0000 0.0000
Al 2.0305 0.0000 4.5675
Al 4.5570 1.2587 4.9946
Al 4.5570 1.2587 8.7080
Al 2.5685 -1.3709 2.2838
Al 3.1775 -1.3448 6.8513
Al 5.9365 1.3448 2.2838
Al 6.5455 1.3709 6.8513
Al 4.5570 -1.2587 0.4271
Al 4.5570 -1.2587 4.1405
Al 7.0834 0.0000 0.0000
Al 7.0834 0.0000 4.5675
Al 5.9365 -1.3448 6.8513
Al 4.5570 -3.5208 5.4884
Al 4.5570 -3.5208 8.2143
Al 6.5455 -1.3709 2.2838
Os 2.2785 2.5518 0.0000
Os 2.2785 2.5518 4.5675
Os 2.2785 -2.5518 0.0000
Os 2.2785 -2.5518 4.5675
```


# 4
Computed powder diffraction line list of Y2TlPd for Cu Kα (weighted mean of Kα1 and Kα2), from a DFT-relaxed cell (PBE, Alexandria).
Kinematic intensities with the Lorentz-polarization factor, no thermal factor.

Principal peaks in the range 10 to 80 degrees two-theta, low angle first:
22.19 deg, 4.006 Å, rel. 16.0; 28.16 deg, 3.169 Å, rel. 18.3; 30.72 deg, 2.910 Å, rel. 100.0; 31.58 deg, 2.833 Å, rel. 80.9; 44.64 deg, 2.030 Å, rel. 67.5; 45.27 deg, 2.003 Å, rel. 27.4; 55.70 deg, 1.650 Å, rel. 16.7; 59.17 deg, 1.562 Å, rel. 33.3; 65.46 deg, 1.426 Å, rel. 19.7; 77.50 deg, 1.232 Å, rel. 21.8

Structural model:
```
16
Lattice="8.0126 0.0000 0.0000 0.0000 8.0126 0.0000 0.0000 0.0000 6.7845" Properties=species:S:1:pos:R:3 pbc="T T T"
Y 1.6875 6.0095 0.8481
Y 2.0032 1.6875 5.9364
Y 2.0032 2.3188 2.5442
Y 2.3188 6.0095 4.2403
Y 5.6938 2.0032 4.2403
Y 6.0095 5.6938 2.5442
Y 6.0095 6.3251 5.9364
Y 6.3251 2.0032 0.8481
Tl 0.0000 0.0000 3.3922
Tl 0.0000 4.0063 5.0884
Tl 4.0063 0.0000 1.6961
Tl 4.0063 4.0063 0.0000
Pd 0.0000 0.0000 0.0000
Pd 0.0000 4.0063 1.6961
Pd 4.0063 0.0000 5.0884
Pd 4.0063 4.0063 3.3922
```


# 5
Computed powder diffraction line list of ThSc4As5 for Cu Kα (weighted mean of Kα1 and Kα2), from a DFT-relaxed cell (PBE, Alexandria).
Kinematic intensities with the Lorentz-polarization factor, no thermal factor.

Principal peaks in the range 10 to 80 degrees two-theta, low angle first:
16.24 deg, 5.457 Å, rel. 22.3; 31.51 deg, 2.839 Å, rel. 53.1; 31.96 deg, 2.800 Å, rel. 100.0; 45.50 deg, 1.994 Å, rel. 73.7; 45.70 deg, 1.985 Å, rel. 18.6; 45.96 deg, 1.975 Å, rel. 16.7; 56.57 deg, 1.627 Å, rel. 19.4; 56.79 deg, 1.621 Å, rel. 17.6; 75.01 deg, 1.266 Å, rel. 16.3; 75.78 deg, 1.255 Å, rel. 22.7

Structural model:
```
10
Lattice="-1.9851 2.8393 9.8731 1.9851 -2.8393 9.8731 1.9851 2.8393 -9.8731" Properties=species:S:1:pos:R:3 pbc="T T T"
Th 0.0000 0.0000 0.0000
Sc 0.0000 0.0000 4.0638
Sc 0.0000 0.0000 7.8347
Sc 0.0000 0.0000 11.9115
Sc 0.0000 0.0000 15.6824
As 1.9851 0.0000 2.1614
As 1.9851 0.0000 5.9444
As 0.0000 2.8393 0.0000
As 0.0000 2.8393 3.9287
As 0.0000 2.8393 7.7117
```


# 6
Computed powder diffraction line list of Li7Ga2Ag2 for Cu Kα (weighted mean of Kα1 and Kα2), from a DFT-relaxed cell (PBE, Alexandria).
Kinematic intensities with the Lorentz-polarization factor, no thermal factor.

Principal peaks in the range 10 to 80 degrees two-theta, low angle first:
20.75 deg, 4.281 Å, rel. 100.0; 23.39 deg, 3.803 Å, rel. 72.9; 26.34 deg, 3.383 Å, rel. 55.3; 28.99 deg, 3.080 Å, rel. 67.5; 31.93 deg, 2.802 Å, rel. 45.7; 34.64 deg, 2.589 Å, rel. 23.3; 40.32 deg, 2.237 Å, rel. 20.3; 41.86 deg, 2.158 Å, rel. 47.9; 42.22 deg, 2.141 Å, rel. 20.8; 51.39 deg, 1.778 Å, rel. 39.6

Structural model:
```
11
Lattice="3.4590 -4.5979 0.0000 3.4590 4.5979 0.0000 0.0000 0.0000 6.7669" Properties=species:S:1:pos:R:3 pbc="T T T"
Li 0.0000 0.0000 0.0000
Li 1.7295 2.2989 1.9415
Li 1.7295 2.2989 4.8254
Li 1.7295 -2.2989 1.9415
Li 1.7295 -2.2989 4.8254
Li 3.4590 0.0000 2.1447
Li 3.4590 0.0000 4.6222
Ga 1.1795 0.0000 3.3834
Ga 5.7386 0.0000 3.3834
Ag 3.4590 1.5059 0.0000
Ag 3.4590 -1.5059 0.0000
```